1.
Starting from a crystal structure in the Materials Project, relaxed with PBE, the powder X-ray diffraction pattern of CaCO3 was simulated for Cu Kα X-rays.

Structural model:
```
data_CaCO3
_cell_length_a 12.503
_cell_length_b 7.295
_cell_length_c 9.451
_cell_angle_alpha 90.00
_cell_angle_beta 115.41
_cell_angle_gamma 90.00
_symmetry_space_group_name_H-M 'C 1 2/c 1'
_symmetry_Int_Tables_number 15
loop_
_symmetry_equiv_pos_as_xyz
'x,y,z'
'-x,-y,-z'
'-x,y,-z+1/2'
'x,-y,z+1/2'
'x+1/2,y+1/2,z'
'-x+1/2,-y+1/2,-z'
'-x+1/2,y+1/2,-z+1/2'
'x+1/2,-y+1/2,z+1/2'
loop_
_atom_site_label
_atom_site_type_symbol
_atom_site_fract_x
_atom_site_fract_y
_atom_site_fract_z
Ca1 Ca 0.076 0.225 0.001
Ca2 Ca 0.250 0.250 0.500
C1 C 0.000 0.450 0.250
C2 C 0.188 0.106 0.765
O1 O 0.000 0.373 0.750
O2 O 0.045 0.363 0.383
O3 O 0.099 0.056 0.637
O4 O 0.197 0.061 0.903
O5 O 0.229 0.296 0.245
```

Peak list (10 most intense, 10 to 80 degrees two-theta, sorted by position)
two_theta, intensity, hkl
24.41, 36, 0 2 0
24.60, 58, 3 1 -1
26.61, 100, 3 1 0
26.87, 60, 3 1 -2
32.27, 90, 3 1 1
32.62, 53, 3 1 -3
43.07, 72, 3 3 -1
43.43, 36, 6 0 -2
49.32, 37, 3 1 3
49.48, 32, 0 2 4

***

2.
Starting from a crystal structure in the Materials Project, relaxed with PBE, the powder X-ray diffraction pattern of SrGaF5 was simulated for Cu Kα X-rays.

Structural model:
```
data_SrGaF5
_cell_length_a 14.661
_cell_length_b 14.661
_cell_length_c 7.453
_cell_angle_alpha 90.00
_cell_angle_beta 90.00
_cell_angle_gamma 90.00
_symmetry_space_group_name_H-M 'I 4'
_symmetry_Int_Tables_number 79
loop_
_symmetry_equiv_pos_as_xyz
'x,y,z'
'-y,x,z'
'-x,-y,z'
'y,-x,z'
'x+1/2,y+1/2,z+1/2'
'-y+1/2,x+1/2,z+1/2'
'-x+1/2,-y+1/2,z+1/2'
'y+1/2,-x+1/2,z+1/2'
loop_
_atom_site_label
_atom_site_type_symbol
_atom_site_fract_x
_atom_site_fract_y
_atom_site_fract_z
Sr1 Sr 0.049 0.775 0.000
Sr2 Sr 0.067 0.248 0.503
Ga1 Ga 0.000 0.000 0.262
Ga2 Ga 0.000 0.000 0.761
Ga3 Ga 0.000 0.500 0.008
Ga4 Ga 0.167 0.685 0.500
F1 F 0.000 0.000 0.012
F2 F 0.000 0.000 0.512
F3 F 0.000 0.500 0.258
F4 F 0.042 0.123 0.253
F5 F 0.046 0.122 0.773
F6 F 0.049 0.620 0.510
F7 F 0.067 0.612 0.005
F8 F 0.096 0.292 0.828
F9 F 0.101 0.288 0.176
F10 F 0.103 0.761 0.671
F11 F 0.104 0.754 0.320
F12 F 0.228 0.740 0.996
```

Peak list (10 most intense, 10 to 80 degrees two-theta, sorted by position)
two_theta, intensity, hkl
23.88, 46, 0 0 2
24.28, 40, 4 0 0
24.94, 21, 2 3 1
25.40, 36, 1 1 2
27.20, 59, 4 2 0
27.80, 100, 1 4 1
43.13, 24, 6 3 1
44.50, 47, 1 4 3
48.88, 22, 0 0 4
51.39, 26, 2 8 0

***

3.
Starting from a crystal structure in the Materials Project, relaxed with PBE, the powder X-ray diffraction pattern of ErRe3O12 was simulated for Cu Kα X-rays.

Structural model:
```
data_ErRe3O12
_cell_length_a 8.9498
_cell_length_b 8.9498
_cell_length_c 26.3121
_cell_angle_alpha 90.00
_cell_angle_beta 90.00
_cell_angle_gamma 120.00
_symmetry_space_group_name_H-M 'R 3 c'
_symmetry_Int_Tables_number 161
_symmetry_space_group_name_Hall 'R 3 -2"c'
loop_
_atom_site_label
_atom_site_type_symbol
_atom_site_fract_x
_atom_site_fract_y
_atom_site_fract_z
Er1 Er 0.0000 0.0000 0.0000
Re1 Re 0.0085 0.3727 0.2718
O1 O 0.0061 0.4752 0.3282
O2 O 0.0768 0.2162 0.5560
O3 O 0.0766 0.5218 0.9488
O4 O 0.0992 0.2176 0.9284
```

Peak list (10 most intense, 10 to 80 degrees two-theta, sorted by position)
two_theta, intensity, hkl
13.26, 47, 0 1 2
20.25, 24, 0 0 6
22.30, 100, 1 1 3
26.70, 14, 0 2 4
28.50, 36, 1 1 6
34.72, 24, 3 0 0
36.72, 24, 1 1 9
40.53, 13, 3 0 6
41.66, 12, 2 2 3
45.53, 12, 2 2 6

***

4.
Starting from a crystal structure in the Materials Project, relaxed with PBE, the powder X-ray diffraction pattern of HfSn2 was simulated for Cu Kα X-rays.

Structural model:
```
data_HfSn2
_cell_length_a 5.5498
_cell_length_b 5.5498
_cell_length_c 7.6797
_cell_angle_alpha 90.00
_cell_angle_beta 90.00
_cell_angle_gamma 120.00
_symmetry_space_group_name_H-M 'P 62 2 2'
_symmetry_Int_Tables_number 180
_symmetry_space_group_name_Hall 'P 62 2 (0 0 4)'
loop_
_atom_site_label
_atom_site_type_symbol
_atom_site_fract_x
_atom_site_fract_y
_atom_site_fract_z
Hf1 Hf 0.0000 0.5000 0.1667
Sn1 Sn 0.1676 0.3351 0.5000
```

Peak list (10 most intense, 10 to 80 degrees two-theta, sorted by position)
two_theta, intensity, hkl
32.26, 15, 1 1 0
34.36, 100, 1 1 1
35.05, 36, 0 0 3
40.09, 66, 1 1 2
58.45, 22, 1 1 4
58.89, 22, 3 0 1
62.85, 18, 3 0 2
67.51, 17, 2 2 0
70.01, 13, 1 1 5
78.40, 22, 2 2 3

***

5.
Starting from a crystal structure in the Materials Project, relaxed with PBE, the powder X-ray diffraction pattern of Eu5Si3H was simulated for Cu Kα X-rays.

Structural model:
```
data_Eu5Si3H
_cell_length_a 7.732
_cell_length_b 7.732
_cell_length_c 14.446
_cell_angle_alpha 90.00
_cell_angle_beta 90.00
_cell_angle_gamma 90.00
_symmetry_space_group_name_H-M 'I 4/m c m'
_symmetry_Int_Tables_number 140
_symmetry_space_group_name_Hall '-I 4 2c'
loop_
_atom_site_label
_atom_site_type_symbol
_atom_site_fract_x
_atom_site_fract_y
_atom_site_fract_z
Eu1 Eu 0.000 0.000 0.000
Eu2 Eu 0.172 0.328 0.149
Si1 Si 0.000 0.000 0.250
Si2 Si 0.110 0.390 0.500
H1 H 0.000 0.500 0.250
```

Peak list (10 most intense, 10 to 80 degrees two-theta, sorted by position)
two_theta, intensity, hkl
26.14, 21, 2 0 2
26.51, 40, 2 1 1
29.65, 19, 1 1 4
31.86, 100, 2 1 3
33.97, 45, 2 0 4
36.76, 38, 3 1 0
37.35, 17, 0 0 6
51.58, 19, 2 1 7
52.36, 24, 4 1 3
56.57, 21, 3 3 4

***

6.
Starting from a crystal structure in the Materials Project, relaxed with PBE, the powder X-ray diffraction pattern of Ta3Cr5N4 was simulated for Cu Kα X-rays.

Structural model:
```
data_Ta3Cr5N4
_cell_length_a 2.987
_cell_length_b 2.987
_cell_length_c 14.579
_cell_angle_alpha 90.00
_cell_angle_beta 90.00
_cell_angle_gamma 90.00
_symmetry_space_group_name_H-M 'P 4 m m'
_symmetry_Int_Tables_number 99
loop_
_symmetry_equiv_pos_as_xyz
'x,y,z'
'-y,x,z'
'-x,-y,z'
'y,-x,z'
'-x,y,z'
'y,x,z'
'x,-y,z'
'-y,-x,z'
loop_
_atom_site_label
_atom_site_type_symbol
_atom_site_fract_x
_atom_site_fract_y
_atom_site_fract_z
Ta1 Ta 0.000 0.000 0.000
Ta2 Ta 0.000 0.000 0.489
Ta3 Ta 0.500 0.500 0.672
Cr1 Cr 0.000 0.000 0.281
Cr2 Cr 0.000 0.000 0.791
Cr3 Cr 0.500 0.500 0.168
Cr4 Cr 0.500 0.500 0.370
Cr5 Cr 0.500 0.500 0.877
N1 N 0.000 0.000 0.153
N2 N 0.000 0.000 0.648
N3 N 0.500 0.500 0.019
N4 N 0.500 0.500 0.514
```

Peak list (10 most intense, 10 to 80 degrees two-theta, sorted by position)
two_theta, intensity, hkl
12.14, 25, 0 0 2
24.42, 17, 0 0 4
32.39, 62, 1 0 2
37.00, 28, 0 0 6
38.98, 100, 1 0 4
42.81, 74, 1 1 0
48.28, 17, 1 0 6
57.84, 29, 1 1 6
62.15, 23, 2 0 0
75.85, 28, 2 1 4